(1)
The following is a computed powder diffraction line list of NiBiO3. It was derived from a GGA+U-relaxed structure, using copper Kα.

Structure:
```
NiBiO3
1.0
5.3684 0.0000 0.0000
0.0000 7.8488 0.0000
-0.0336 0.0000 5.6821
Ni Bi O
4 4 12
Cartesian
0.0000 0.0000 0.0000
0.0000 3.9244 0.0000
2.6674 0.0000 2.8411
2.6674 3.9244 2.8411
0.0941 1.9622 2.5112
2.4870 1.9622 5.2872
2.8478 5.8866 0.3949
5.2407 5.8866 3.1709
0.7755 5.8866 5.4665
1.0557 0.5666 4.0176
1.0557 3.3577 4.0176
1.7125 0.5050 1.0364
1.7125 3.4194 1.0364
2.0413 5.8866 2.4362
3.2935 1.9622 3.2459
3.6222 4.4293 4.6457
3.6222 7.3438 4.6457
4.2790 4.4910 1.6645
4.2790 7.2821 1.6645
4.5593 1.9622 0.2156
```

Largest 10 diffraction maxima, by angle, 2θ from 5° to 70°:
| d [Å] | 2θ (°) | I_rel |
| --- | --- | --- |
| 3.920 | 22.7 | 33 |
| 3.891 | 22.9 | 12 |
| 2.841 | 31.5 | 18 |
| 2.767 | 32.4 | 100 |
| 2.684 | 33.4 | 22 |
| 2.671 | 33.5 | 13 |
| 1.962 | 46.3 | 13 |
| 1.745 | 52.4 | 12 |
| 1.567 | 58.9 | 13 |
| 1.562 | 59.1 | 12 |


(2)
The following is a computed powder diffraction line list of NiBiO3. It was derived from a GGA+U-relaxed structure, using copper Kα.

Structure:
```
NiBiO3
1.0
5.7336 0.0000 0.0000
0.0000 7.7444 0.0000
0.0000 0.0000 5.3757
Ni Bi O
4 4 12
Cartesian
0.0000 0.0000 0.0000
0.0000 3.8722 0.0000
2.8668 0.0000 2.6878
2.8668 3.8722 2.6878
0.3755 1.9361 2.5873
2.4913 5.8083 5.2751
3.2423 1.9361 0.1006
5.3581 5.8083 2.7884
0.3287 5.8083 0.7011
1.0666 4.3362 3.6662
1.0666 7.2803 3.6662
1.8002 0.4640 0.9784
1.8002 3.4081 0.9784
2.5381 1.9361 3.3890
3.1954 5.8083 1.9867
3.9333 4.3362 4.3973
3.9333 7.2803 4.3973
4.6670 0.4640 1.7095
4.6670 3.4081 1.7095
5.4049 1.9361 4.6745
```

Largest 10 diffraction maxima, by angle, 2θ from 5° to 70°:
| d [Å] | 2θ (°) | I_rel |
| --- | --- | --- |
| 3.922 | 22.7 | 28 |
| 3.872 | 23.0 | 18 |
| 3.499 | 25.5 | 21 |
| 2.867 | 31.2 | 19 |
| 2.755 | 32.5 | 100 |
| 2.688 | 33.3 | 38 |
| 1.961 | 46.3 | 15 |
| 1.901 | 47.9 | 14 |
| 1.754 | 52.1 | 20 |
| 1.564 | 59.0 | 22 |


(3)
The following is a computed powder diffraction line list of NiBiO3. It was derived from a GGA+U-relaxed structure, using copper Kα.

Structure:
```
NiBiO3
1.0
5.4584 0.0000 0.0000
-0.1892 5.7219 0.0000
-0.0499 -0.3066 7.8394
Ni Bi O
4 4 12
Cartesian
0.0000 0.0000 0.0000
-0.0250 -0.1533 3.9197
2.6346 2.8609 0.0000
2.6096 2.7076 3.9197
-0.0409 2.4435 1.7351
2.4762 5.3004 2.1238
2.7430 0.1148 5.7157
5.2601 2.9717 6.1044
0.3791 5.0618 5.8142
0.8115 3.9172 0.3355
0.8659 3.6909 3.2318
1.5169 1.2688 0.6855
1.7615 0.8353 3.6862
1.8315 2.4080 5.8889
3.3878 3.0072 1.9505
3.4577 4.5799 4.1532
3.7024 4.1465 7.1539
4.3533 1.7243 4.6077
4.4078 1.4981 7.5039
4.8402 0.3535 2.0252
```

Largest 10 diffraction maxima, by angle, 2θ from 5° to 70°:
| d [Å] | 2θ (°) | I_rel |
| --- | --- | --- |
| 4.014 | 22.1 | 48 |
| 3.920 | 22.7 | 49 |
| 3.883 | 22.9 | 44 |
| 2.859 | 31.3 | 63 |
| 2.836 | 31.6 | 84 |
| 2.804 | 31.9 | 77 |
| 2.774 | 32.3 | 72 |
| 2.726 | 32.9 | 100 |
| 2.715 | 33.0 | 68 |
| 1.960 | 46.3 | 31 |


(4)
The following is a computed powder diffraction line list of NiBiPO5. It was derived from a GGA+U-relaxed structure, using copper Kα.

Structure:
```
NiBiPO5
1.0
5.2486 0.0000 0.0000
0.0000 11.3137 0.0000
-3.0588 0.0000 6.9685
Ni Bi P O
4 4 4 20
Cartesian
-0.2796 0.8932 1.2910
-1.8090 4.7636 4.7752
3.9988 6.5501 2.1933
2.4694 10.4205 5.6775
-0.2491 1.1470 5.6485
1.2803 4.5098 2.1642
0.9095 6.8039 4.8043
2.4389 10.1667 1.3201
1.5372 7.3753 0.1678
0.0079 9.5953 3.6520
2.1819 1.7185 3.3165
0.6526 3.9384 6.8008
-0.5574 8.1650 3.3968
-2.0867 8.8056 6.8811
0.6034 6.5793 1.1213
-0.9260 10.3912 4.6056
-1.3644 6.5916 5.8028
0.1650 10.3790 2.3185
1.3072 0.2847 0.1051
-0.2222 5.3722 3.5894
0.7764 1.9552 2.6795
-0.7530 3.7016 6.1638
2.9428 7.6121 0.8047
1.4134 9.3585 4.2890
2.4120 5.9415 3.3792
0.8826 11.0291 6.8634
2.0248 0.9348 4.6500
3.5542 4.7221 1.1658
3.1158 0.9225 2.3630
1.5865 4.7344 5.8472
4.2765 2.5082 0.0874
2.7472 3.1487 3.5717
```

Largest 10 diffraction maxima, by angle, 2θ from 5° to 70°:
| d [Å] | 2θ (°) | I_rel |
| --- | --- | --- |
| 5.657 | 15.7 | 29 |
| 4.806 | 18.5 | 37 |
| 4.392 | 20.2 | 47 |
| 3.749 | 23.7 | 40 |
| 3.420 | 26.1 | 68 |
| 2.897 | 30.9 | 100 |
| 2.828 | 31.6 | 28 |
| 2.600 | 34.5 | 43 |
| 2.552 | 35.2 | 42 |
| 2.121 | 42.6 | 29 |